Th2HgPt9: theoretical powder XRD pattern (CuKα), based on a crystal structure in Alexandria, relaxed with PBE.
Peak positions follow from Bragg's law for the DFT cell and can differ from measured ones.

Principal peaks in the range 15 to 90 degrees two-theta, low angle first:
| (hkl) | two_theta | I_rel |
| --- | --- | --- |
| 0 0 9 | 30.0 | 21.4 |
| 1 1 0 | 32.8 | 50.5 |
| 0 2 1 | 38.2 | 31.7 |
| 1 1 6 | 38.6 | 100.0 |
| 0 0 12 | 40.4 | 34.5 |
| 2 0 5 | 41.7 | 62.4 |
| 0 2 7 | 45.0 | 14.9 |
| 0 3 6 | 62.4 | 21.6 |
| 2 2 0 | 68.7 | 27.1 |
| 2 2 12 | 82.8 | 14.3 |

Atomic structure:
```
data_Th2HgPt9
_chemical_formula_sum 'Th6 Hg3 Pt27'
_cell_length_a 5.4651
_cell_length_b 5.4651
_cell_length_c 26.8241
_cell_angle_alpha 90.00
_cell_angle_beta 90.00
_cell_angle_gamma 120.00
_space_group_name_H-M_alt 'R -3 m'
_space_group_IT_number 166
_space_group_name_Hall '-R 3 2"'
loop_
_atom_site_label
_atom_site_fract_x
_atom_site_fract_y
_atom_site_fract_z
Th1 0.0000 0.0000 0.1340
Hg1 0.0000 0.0000 0.0000
Pt1 0.0000 0.0000 0.3324
Pt2 0.0000 0.0000 0.5000
Pt3 0.0055 0.5027 0.9144
```